Record 1
Theoretical PXRD pattern of Ba5Ca4Tl4 for CuKα, from a cell relaxed with GGA-PBE.

Crystal structure
```
Ba5Ca4Tl4
1.0
-6.996 6.996 2.758
6.996 -6.996 2.758
6.996 6.996 -2.758
Ba Ca Tl
5 4 4
direct
0.000 0.000 0.000 Ba
0.301 0.373 0.674 Ba
0.373 0.699 0.072 Ba
0.627 0.301 0.928 Ba
0.699 0.627 0.326 Ba
0.110 0.584 0.694 Ca
0.416 0.110 0.526 Ca
0.584 0.890 0.474 Ca
0.890 0.416 0.306 Ca
0.064 0.256 0.320 Tl
0.256 0.936 0.192 Tl
0.744 0.064 0.808 Tl
0.936 0.744 0.680 Tl
```

Peak list (10 most intense, 2θ = 10–80°, by angle)
2θ/deg  Rel. int.
21.47  50.6
25.00  68.6
28.11  100.0
28.53  48.5
30.94  91.0
32.46  48.8
37.48  30.7
43.75  30.4
50.41  26.8
55.51  26.9



Record 2
Theoretical PXRD pattern of DyThTe for CuKα, from a cell relaxed with GGA-PBE.

Crystal structure
```
DyThTe
1.0
-1.924 1.924 6.193
1.924 -1.924 6.193
1.924 1.924 -6.193
Dy Th Te
1 1 1
direct
0.000 0.000 0.000 Dy
0.698 0.698 0.000 Th
0.359 0.359 0.000 Te
```

Peak list (10 most intense, 2θ = 10–80°, by angle)
2θ/deg  Rel. int.
24.22  10.7
31.79  100.0
32.91  48.9
43.86  8.4
47.24  18.0
55.91  16.6
58.06  36.6
66.42  9.9
78.00  7.8
78.61  8.2